# 1
The following is a computed powder XRD pattern of BiP4O12. It was derived from a crystal structure in the Materials Project, relaxed with GGA-PBE, using Cu Kα, 1.54184 Å.
Peak positions follow from Bragg's law for the DFT cell and can differ from measured ones.

Largest 6 diffraction maxima, most intense first, 10° ≤ 2θ ≤ 90°:
2θ 20.37, I 100; 2θ 15.40, I 64; 2θ 13.23, I 41; 2θ 22.73, I 38; 2θ 30.58, I 22; 2θ 32.71, I 21

Cell and atoms:
abc: 8.964 8.964 9.600
angles: 122.07 122.07 47.26
Positions (direct):
Bi: 0.207 0.793 0.750
Bi: 0.793 0.207 0.250
P: 0.009 0.284 0.694
P: 0.284 0.009 0.194
P: 0.328 0.394 0.881
P: 0.394 0.328 0.381
P: 0.606 0.672 0.619
P: 0.672 0.606 0.119
P: 0.716 0.991 0.806
P: 0.991 0.716 0.306
O: 0.003 0.134 0.716
O: 0.024 0.242 0.526
O: 0.134 0.003 0.216
O: 0.181 0.581 0.809
O: 0.192 0.316 0.848
O: 0.199 0.485 0.261
O: 0.242 0.024 0.026
O: 0.316 0.192 0.348
O: 0.419 0.819 0.691
O: 0.422 0.446 0.567
O: 0.446 0.422 0.067
O: 0.485 0.199 0.761
O: 0.515 0.801 0.239
O: 0.554 0.578 0.933
O: 0.578 0.554 0.433
O: 0.581 0.181 0.309
O: 0.684 0.808 0.652
O: 0.758 0.976 0.974
O: 0.801 0.515 0.739
O: 0.808 0.684 0.152
O: 0.819 0.419 0.191
O: 0.866 0.997 0.784
O: 0.976 0.758 0.474
O: 0.997 0.866 0.284

# 2
The following is a computed powder XRD pattern of SrLaZnRuO6. It was derived from a crystal structure in the Materials Project, relaxed with GGA-PBE, using Cu Kα, 1.54184 Å.
Peak positions follow from Bragg's law for the DFT cell and can differ from measured ones.

Largest 6 diffraction maxima, most intense first, 10° ≤ 2θ ≤ 90°:
2θ 31.69, I 100; 2θ 45.24, I 22; 2θ 31.41, I 19; 2θ 56.41, I 17; 2θ 56.53, I 14; 2θ 56.10, I 13

Cell and atoms:
abc: 5.643 5.695 9.742
angles: 90.00 125.23 90.00
Positions (direct):
Sr: 0.000 0.217 0.000
Sr: 0.000 0.783 0.500
La: 0.514 0.292 0.499
La: 0.514 0.708 0.999
Zn: 0.256 0.244 0.749
Zn: 0.256 0.756 0.249
Ru: 0.756 0.249 0.251
Ru: 0.756 0.751 0.751
O: 0.085 0.236 0.492
O: 0.085 0.764 0.992
O: 0.446 0.273 0.009
O: 0.446 0.727 0.509
O: 0.518 0.049 0.295
O: 0.518 0.951 0.795
O: 0.586 0.478 0.792
O: 0.586 0.522 0.292
O: 0.910 0.035 0.707
O: 0.910 0.965 0.207
O: 0.990 0.462 0.213
O: 0.990 0.538 0.713

# 3
The following is a computed powder XRD pattern of Zr6PI14. It was derived from a crystal structure in the Materials Project, relaxed with GGA-PBE, using Cu Kα, 1.54184 Å.
Peak positions follow from Bragg's law for the DFT cell and can differ from measured ones.

Largest 6 diffraction maxima, most intense first, 10° ≤ 2θ ≤ 90°:
2θ 10.48, I 100; 2θ 32.31, I 98; 2θ 28.48, I 95; 2θ 27.58, I 86; 2θ 42.87, I 51; 2θ 25.94, I 43

Cell and atoms:
abc: 10.983 10.983 13.261
angles: 90.00 90.00 84.87
Positions (direct):
Zr: 0.045 0.176 0.887
Zr: 0.138 0.862 0.898
Zr: 0.176 0.045 0.113
Zr: 0.324 0.455 0.613
Zr: 0.362 0.638 0.398
Zr: 0.455 0.324 0.387
Zr: 0.545 0.676 0.613
Zr: 0.638 0.362 0.602
Zr: 0.676 0.545 0.387
Zr: 0.824 0.955 0.887
Zr: 0.862 0.138 0.102
Zr: 0.955 0.824 0.113
P: 0.000 0.000 0.000
P: 0.500 0.500 0.500
I: 0.036 0.215 0.246
I: 0.100 0.400 0.750
I: 0.115 0.638 0.009
I: 0.138 0.615 0.509
I: 0.151 0.849 0.263
I: 0.215 0.036 0.754
I: 0.250 0.250 0.000
I: 0.250 0.250 0.500
I: 0.285 0.464 0.254
I: 0.349 0.651 0.763
I: 0.362 0.885 0.009
I: 0.385 0.862 0.509
I: 0.400 0.100 0.250
I: 0.464 0.285 0.746
I: 0.536 0.715 0.254
I: 0.600 0.900 0.750
I: 0.615 0.138 0.491
I: 0.638 0.115 0.991
I: 0.651 0.349 0.237
I: 0.715 0.536 0.746
I: 0.750 0.750 0.000
I: 0.750 0.750 0.500
I: 0.785 0.964 0.246
I: 0.849 0.151 0.737
I: 0.862 0.385 0.491
I: 0.885 0.362 0.991
I: 0.900 0.600 0.250
I: 0.964 0.785 0.754

# 4
The following is a computed powder XRD pattern of KNa4Cl5. It was derived from a crystal structure in the Materials Project, relaxed with GGA-PBE, using Cu Kα, 1.54184 Å.
Peak positions follow from Bragg's law for the DFT cell and can differ from measured ones.

Largest 6 diffraction maxima, most intense first, 10° ≤ 2θ ≤ 90°:
2θ 30.65, I 100; 2θ 43.98, I 34; 2θ 43.80, I 30; 2θ 54.56, I 16; 2θ 72.58, I 13; 2θ 72.31, I 9

Cell and atoms:
abc: 17.078 17.078 17.078
angles: 13.85 13.85 13.85
Positions (direct):
K: 0.000 0.000 0.000
Na: 0.199 0.199 0.199
Na: 0.404 0.404 0.404
Na: 0.596 0.596 0.596
Na: 0.801 0.801 0.801
Cl: 0.102 0.102 0.102
Cl: 0.294 0.294 0.294
Cl: 0.500 0.500 0.500
Cl: 0.706 0.706 0.706
Cl: 0.898 0.898 0.898

# 5
The following is a computed powder XRD pattern of DyIn4Pt4. It was derived from a crystal structure in the Materials Project, relaxed with GGA-PBE, using Cu Kα, 1.54184 Å.
Peak positions follow from Bragg's law for the DFT cell and can differ from measured ones.

Largest 6 diffraction maxima, most intense first, 10° ≤ 2θ ≤ 90°:
2θ 39.03, I 100; 2θ 38.42, I 97; 2θ 70.30, I 33; 2θ 55.92, I 33; 2θ 22.24, I 26; 2θ 70.71, I 17

Cell and atoms:
abc: 4.615 4.615 20.245
angles: 90.00 90.00 120.00
Positions (direct):
Dy: 0.333 0.667 0.250
Dy: 0.667 0.333 0.750
In: 0.000 0.000 0.142
In: 0.000 0.000 0.358
In: 0.000 0.000 0.642
In: 0.000 0.000 0.858
In: 0.333 0.667 0.542
In: 0.333 0.667 0.958
In: 0.667 0.333 0.042
In: 0.667 0.333 0.458
Pt: 0.333 0.667 0.095
Pt: 0.333 0.667 0.405
Pt: 0.333 0.667 0.681
Pt: 0.333 0.667 0.819
Pt: 0.667 0.333 0.181
Pt: 0.667 0.333 0.319
Pt: 0.667 0.333 0.595
Pt: 0.667 0.333 0.905